This entry pairs a crystal structure of NbP2Pd2 with its theoretical XRD peak list. Radiation: Cu Kα X-rays. Structure: a PBE-relaxed structure.
Kinematic intensities with the Lorentz-polarization factor, no thermal factor.

The 10 most intense peaks (2θ from 10° to 80°), by angle:
28.78°, I = 41, hkl 2 1 0; 33.88°, I = 49, hkl 1 1 1; 36.64°, I = 11, hkl 2 2 0; 38.67°, I = 19, hkl 2 0 1; 40.88°, I = 100, hkl 2 1 1; 41.15°, I = 68, hkl 3 1 0; 58.77°, I = 13, hkl 0 0 2; 61.03°, I = 21, hkl 4 0 1; 64.22°, I = 13, hkl 3 3 1; 74.25°, I = 23, hkl 3 1 2

Structure:
```
NbP2Pd2
1.0
6.936 0.000 0.000
0.000 6.936 0.000
0.000 0.000 3.142
Nb P Pd
2 4 4
Direct
0.000 0.000 0.000
0.500 0.500 0.000
0.161 0.339 0.000
0.339 0.839 0.000
0.661 0.161 0.000
0.839 0.661 0.000
0.144 0.644 0.500
0.356 0.144 0.500
0.644 0.856 0.500
0.856 0.356 0.500
```

This entry pairs a crystal structure of Ca2ScTePd with its theoretical XRD peak list. Radiation: Cu Kα X-rays. Structure: a PBE-relaxed structure.
Kinematic intensities with the Lorentz-polarization factor, no thermal factor.

The 10 most intense peaks (2θ from 10° to 80°), by angle:
16.20°, I = 100, hkl 1 0 0; 22.99°, I = 47, hkl 1 1 0; 28.69°, I = 31, hkl 1 1 1; 32.73°, I = 67, hkl 2 0 0; 34.26°, I = 30, hkl 0 0 2; 36.73°, I = 26, hkl 2 1 0; 38.12°, I = 24, hkl 1 0 2; 46.97°, I = 24, hkl 2 2 0; 48.12°, I = 44, hkl 2 0 2; 59.41°, I = 23, hkl 2 2 2

Structure:
```
Ca2ScTePd
1.0
5.472 0.000 0.000
0.000 5.472 0.000
0.000 0.000 5.234
Ca Sc Te Pd
2 1 1 1
Direct
0.000 0.500 0.000
0.500 0.000 0.000
0.000 0.000 0.500
0.500 0.500 0.500
0.500 0.500 0.000
```

Q: Number 2 is which compound?
A: Ca2ScTePd